The following is a calculated powder diffractogram of YTm3Al. It was derived from a cell relaxed with GGA-PBE, using Cu Kα (λ = 1.5418 Å).

Cell and atoms:
a = 12.8611 Å, b = 3.5356 Å, c = 12.3113 Å
α = 90.00°, β = 95.57°, γ = 90.00°
Space group C2/m (No. 12)
Inequivalent atoms, fractional coordinates:
Y  0.2249  0.0000  0.2482 (multiplicity 4)
Tm  0.0325  0.0000  0.6935 (multiplicity 4)
Tm  0.1355  0.5000  0.4825 (multiplicity 4)
Tm  0.1410  0.0000  0.9516 (multiplicity 4)
Al  0.0490  0.5000  0.1221 (multiplicity 4)

Peak list (10 most intense, 2θ from 5° to 70°, sorted by position)
Position (°2θ)  Rel. int.  index
26.99  19  2 0 3
29.15  20  0 0 4
31.12  32  2 0 -4
32.81  60  4 0 2
33.27  100  3 1 -1
33.86  19  4 0 -3
34.72  87  1 1 3
48.41  20  3 1 -5
51.71  18  0 2 0
62.60  18  4 2 2

***

The following is a calculated powder diffractogram of YTm5Al6. It was derived from a cell relaxed with GGA-PBE, using Cu Kα (λ = 1.5418 Å).

Cell and atoms:
a = 5.0437 Å, b = 15.1404 Å, c = 7.0871 Å
α = 90.00°, β = 90.00°, γ = 90.00°
Space group Cmmm (No. 65)
Inequivalent atoms, fractional coordinates:
Y  0.0000  0.0000  0.0000 (multiplicity 2)
Tm  0.0000  0.0000  0.5000 (multiplicity 2)
Tm  0.0000  0.3328  0.0000 (multiplicity 4)
Tm  0.0000  0.3342  0.5000 (multiplicity 4)
Al  0.0000  0.1677  0.2524 (multiplicity 8)
Al  0.0000  0.5000  0.2516 (multiplicity 4)

Peak list (10 most intense, 2θ from 5° to 70°, sorted by position)
Position (°2θ)  Rel. int.  index
24.96  62  1 3 0
25.13  30  0 0 2
35.59  50  2 0 0
35.71  100  1 3 2
44.06  28  2 0 2
51.21  18  2 6 0
57.79  13  3 3 0
57.87  12  2 6 2
64.00  37  3 3 2
64.24  18  2 0 4